No. 1
Diffraction record for Ho8Co3Ag2. The powder X-ray diffraction pattern is theoretical, not measured: it uses the GGA-PBE geometry in Alexandria and Cu Kα (weighted mean of Kα1 and Kα2).
Neutral-atom scattering factors, no anomalous dispersion.

Most intense lines, 10° ≤ 2θ ≤ 90°, by intensity:
| two_theta | d_spacing | intensity | index |
| --- | --- | --- | --- |
| 36.6 | 2.456 | 100 | 1 1 -3 |
| 36.8 | 2.443 | 97 | 3 1 -1 |
| 26.6 | 3.355 | 67 | 1 1 1 |
| 37.7 | 2.387 | 57 | 2 0 2 |
| 38.2 | 2.358 | 48 | 0 2 0 |
| 54.7 | 1.678 | 39 | 2 2 2 |

Cell lengths 8.585, 4.716, 8.642 Å; angles 90.00, 112.68, 90.00 degrees
Space group P2/m (No. 10)
One atom of each set of equivalent atoms:
Ho  0.109  0.000  0.387 [2 per cell]
Ho  0.142  0.500  0.870 [2 per cell]
Ho  0.362  0.500  0.642 [2 per cell]
Ho  0.389  0.000  0.114 [2 per cell]
Co  0.250  0.000  0.753 [2 per cell]
Co  0.500  0.500  0.000 [1 per cell]
Ag  0.247  0.500  0.257 [2 per cell]

No. 2
Diffraction record for CoAg2Ir. The powder X-ray diffraction pattern is theoretical, not measured: it uses the GGA-PBE geometry in Alexandria and Cu Kα (weighted mean of Kα1 and Kα2).
Neutral-atom scattering factors, no anomalous dispersion.

Most intense lines, 10° ≤ 2θ ≤ 90°, by intensity:
| two_theta | d_spacing | intensity | index |
| --- | --- | --- | --- |
| 39.7 | 2.268 | 100 | 1 0 4 |
| 46.0 | 1.973 | 61 | 0 1 8 |
| 39.0 | 2.308 | 30 | 0 0 12 |
| 67.6 | 1.386 | 20 | 1 1 0 |
| 80.9 | 1.188 | 20 | 1 1 12 |
| 66.6 | 1.404 | 15 | 1 0 16 |

Cell lengths 2.7713, 2.7713, 27.6990 Å; angles 90.00, 90.00, 120.00 degrees
Space group R3m (No. 160, hexagonal axes)
One atom of each set of equivalent atoms:
Co  0.0000  0.0000  0.0000 [3 per cell]
Ag  0.0000  0.0000  0.5066 [3 per cell]
Ag  0.0000  0.0000  0.7488 [3 per cell]
Ir  0.0000  0.0000  0.2625 [3 per cell]

No. 3
Diffraction record for La6CoAg2. The powder X-ray diffraction pattern is theoretical, not measured: it uses the GGA-PBE geometry in Alexandria and Cu Kα (weighted mean of Kα1 and Kα2).
Neutral-atom scattering factors, no anomalous dispersion.

Most intense lines, 10° ≤ 2θ ≤ 90°, by intensity:
| two_theta | d_spacing | intensity | index |
| --- | --- | --- | --- |
| 28.9 | 3.087 | 100 | 0 2 2 |
| 28.8 | 3.099 | 62 | 2 1 -1 |
| 28.7 | 3.110 | 56 | 1 0 -4 |
| 32.0 | 2.797 | 45 | 2 1 0 |
| 31.1 | 2.877 | 42 | 2 0 -4 |
| 33.7 | 2.660 | 42 | 0 0 4 |

Cell lengths 7.060, 7.580, 12.497 Å; angles 90.00, 121.64, 90.00 degrees
Space group P2_1/c (No. 14)
One atom of each set of equivalent atoms:
La  0.134  0.020  0.251 [4 per cell]
La  0.235  0.692  0.053 [4 per cell]
La  0.356  0.195  0.051 [4 per cell]
Co  0.000  0.000  0.000 [2 per cell]
Ag  0.312  0.090  0.762 [4 per cell]

No. 4
Diffraction record for La4Co2Ag5. The powder X-ray diffraction pattern is theoretical, not measured: it uses the GGA-PBE geometry in Alexandria and Cu Kα (weighted mean of Kα1 and Kα2).
Neutral-atom scattering factors, no anomalous dispersion.

Most intense lines, 10° ≤ 2θ ≤ 90°, by intensity:
| two_theta | d_spacing | intensity | index |
| --- | --- | --- | --- |
| 32.1 | 2.790 | 100 | 1 1 -2 |
| 33.2 | 2.697 | 94 | 1 1 2 |
| 32.9 | 2.719 | 91 | 2 1 0 |
| 46.0 | 1.972 | 53 | 0 2 0 |
| 33.4 | 2.681 | 44 | 1 0 3 |
| 35.0 | 2.561 | 41 | 2 1 1 |

Cell lengths 7.532, 3.943, 8.886 Å; angles 90.00, 94.29, 90.00 degrees
Space group P2/m (No. 10)
One atom of each set of equivalent atoms:
La  0.192  0.000  0.340 [2 per cell]
La  0.227  0.000  0.916 [2 per cell]
Co  0.058  0.500  0.129 [2 per cell]
Ag  0.160  0.500  0.630 [2 per cell]
Ag  0.446  0.500  0.163 [2 per cell]
Ag  0.500  0.500  0.500 [1 per cell]

No. 5
Diffraction record for La7CoAg2. The powder X-ray diffraction pattern is theoretical, not measured: it uses the GGA-PBE geometry in Alexandria and Cu Kα (weighted mean of Kα1 and Kα2).
Neutral-atom scattering factors, no anomalous dispersion.

Most intense lines, 10° ≤ 2θ ≤ 90°, by intensity:
| two_theta | d_spacing | intensity | index |
| --- | --- | --- | --- |
| 30.5 | 2.930 | 100 | 4 2 -2 |
| 32.0 | 2.795 | 80 | 2 0 2 |
| 29.0 | 3.076 | 76 | 1 1 -3 |
| 31.2 | 2.865 | 75 | 3 1 1 |
| 31.1 | 2.877 | 63 | 1 3 -1 |
| 31.5 | 2.838 | 58 | 5 1 -3 |

Cell lengths 15.609, 8.948, 10.965 Å; angles 90.00, 128.46, 90.00 degrees
Space group C2/c (No. 15)
One atom of each set of equivalent atoms:
La  0.000  0.060  0.250 [4 per cell]
La  0.083  0.320  0.095 [8 per cell]
La  0.143  0.290  0.796 [8 per cell]
La  0.185  0.389  0.501 [8 per cell]
Co  0.000  0.479  0.250 [4 per cell]
Ag  0.161  0.031  0.618 [8 per cell]

No. 6
Diffraction record for La2Pm2CoAg2. The powder X-ray diffraction pattern is theoretical, not measured: it uses the GGA-PBE geometry in Alexandria and Cu Kα (weighted mean of Kα1 and Kα2).
Neutral-atom scattering factors, no anomalous dispersion.

Most intense lines, 10° ≤ 2θ ≤ 90°, by intensity:
| two_theta | d_spacing | intensity | index |
| --- | --- | --- | --- |
| 33.8 | 2.651 | 100 | 1 2 1 |
| 28.4 | 3.148 | 77 | 1 0 3 |
| 29.9 | 2.991 | 36 | 0 2 2 |
| 39.5 | 2.280 | 32 | 2 0 0 |
| 36.4 | 2.469 | 31 | 1 1 4 |
| 36.9 | 2.434 | 28 | 0 1 5 |

Cell lengths 4.559, 6.730, 13.053 Å; angles 90.00, 90.00, 90.00 degrees
Space group Immm (No. 71)
One atom of each set of equivalent atoms:
La  0.000  0.000  0.200 [4 per cell]
Pm  0.000  0.248  0.500 [4 per cell]
Co  0.000  0.000  0.000 [2 per cell]
Ag  0.000  0.500  0.120 [4 per cell]

No. 7
Diffraction record for La4CoAgSn. The powder X-ray diffraction pattern is theoretical, not measured: it uses the GGA-PBE geometry in Alexandria and Cu Kα (weighted mean of Kα1 and Kα2).
Neutral-atom scattering factors, no anomalous dispersion.

Most intense lines, 10° ≤ 2θ ≤ 90°, by intensity:
| two_theta | d_spacing | intensity | index |
| --- | --- | --- | --- |
| 35.0 | 2.563 | 100 | 2 0 2 |
| 48.3 | 1.885 | 66 | 2 6 2 |
| 32.0 | 2.797 | 51 | 1 5 1 |
| 26.7 | 3.334 | 47 | 2 2 0 |
| 26.9 | 3.315 | 47 | 0 2 2 |
| 32.7 | 2.742 | 43 | 2 4 0 |

Cell lengths 7.275, 16.688, 7.225 Å; angles 90.00, 90.00, 90.00 degrees
Space group Cmcm (No. 63)
One atom of each set of equivalent atoms:
La  0.000  0.069  0.250 [4 per cell]
La  0.000  0.425  0.250 [4 per cell]
La  0.250  0.250  0.000 [8 per cell]
Co  0.000  0.243  0.250 [4 per cell]
Ag  0.000  0.116  0.750 [4 per cell]
Sn  0.000  0.386  0.750 [4 per cell]

No. 8
Diffraction record for Li2Co2Ag. The powder X-ray diffraction pattern is theoretical, not measured: it uses the GGA-PBE geometry in Alexandria and Cu Kα (weighted mean of Kα1 and Kα2).
Neutral-atom scattering factors, no anomalous dispersion.

Most intense lines, 10° ≤ 2θ ≤ 90°, by intensity:
| two_theta | d_spacing | intensity | index |
| --- | --- | --- | --- |
| 23.4 | 3.796 | 100 | 0 0 4 |
| 41.9 | 2.155 | 92 | 1 1 2 |
| 28.7 | 3.110 | 50 | 1 0 1 |
| 33.3 | 2.691 | 43 | 1 0 3 |
| 54.6 | 1.680 | 37 | 1 1 6 |
| 41.1 | 2.196 | 26 | 1 0 5 |

Cell lengths 3.178, 3.178, 15.186 Å; angles 90.00, 90.00, 90.00 degrees
Space group I4/mmm (No. 139)
One atom of each set of equivalent atoms:
Li  0.000  0.000  0.108 [4 per cell]
Co  0.000  0.500  0.250 [4 per cell]
Ag  0.000  0.000  0.500 [2 per cell]

No. 9
Diffraction record for Mn2CoAg. The powder X-ray diffraction pattern is theoretical, not measured: it uses the GGA-PBE geometry in Alexandria and Cu Kα (weighted mean of Kα1 and Kα2).
Neutral-atom scattering factors, no anomalous dispersion.

Most intense lines, 10° ≤ 2θ ≤ 90°, by intensity:
| two_theta | d_spacing | intensity | index |
| --- | --- | --- | --- |
| 40.5 | 2.225 | 100 | 1 1 2 |
| 48.4 | 1.882 | 29 | 2 0 0 |
| 84.9 | 1.142 | 21 | 3 1 2 |
| 68.0 | 1.379 | 19 | 2 0 4 |
| 44.7 | 2.027 | 19 | 0 0 4 |
| 26.1 | 3.415 | 13 | 1 0 1 |

Cell lengths 3.765, 3.765, 8.107 Å; angles 90.00, 90.00, 90.00 degrees
Space group I-4m2 (No. 119)
One atom of each set of equivalent atoms:
Mn  0.000  0.000  0.000 [2 per cell]
Mn  0.000  0.500  0.250 [2 per cell]
Co  0.000  0.000  0.500 [2 per cell]
Ag  0.000  0.500  0.750 [2 per cell]